For K23Sn9Au12, a cell relaxed with GGA-PBE gives the calculated PXRD pattern in this record (Cu Ka).
Intensities are scaled so that the largest is 100.

Most intense lines, 2θ = 15–90°, sorted by position:
15.76°, intensity 100
28.76°, intensity 47
29.96°, intensity 55
31.20°, intensity 39
33.50°, intensity 29
36.13°, intensity 45

Structural model:
```
data_K23Sn9Au12
_chemical_formula_sum 'K46 Sn18 Au24'
_symmetry_space_group_name_H-M 'I -4 2 m'
_symmetry_Int_Tables_number 121
_symmetry_space_group_name_Hall 'I -4 2'
_cell_length_a 21.1065
_cell_length_b 21.1065
_cell_length_c 6.9990
_cell_angle_alpha 90.00
_cell_angle_beta 90.00
_cell_angle_gamma 90.00
loop_
_atom_site_label
_atom_site_type_symbol
_atom_site_fract_x
_atom_site_fract_y
_atom_site_fract_z
K1 K 0.0000 0.0000 0.0000
K2 K 0.0000 0.5000 0.2500
K3 K 0.0417 0.1721 0.7464
K4 K 0.0984 0.3409 0.9620
K5 K 0.2177 0.2177 0.6427
Sn1 Sn 0.0000 0.0000 0.5000
Sn2 Sn 0.0000 0.3304 0.5000
Sn3 Sn 0.1645 0.1645 0.1455
Au1 Au 0.0826 0.0826 0.3191
Au2 Au 0.0914 0.2514 0.3500
```

***

For K3Sn4Au, a cell relaxed with GGA-PBE gives the calculated PXRD pattern in this record (Cu Ka).
Intensities are scaled so that the largest is 100.

Most intense lines, 2θ = 15–90°, sorted by position:
24.66°, intensity 44
28.99°, intensity 67
32.22°, intensity 84
33.49°, intensity 100
35.88°, intensity 68
37.40°, intensity 61

Structural model:
```
data_K3Sn4Au
_chemical_formula_sum 'K6 Sn8 Au2'
_symmetry_space_group_name_H-M 'P m m n'
_symmetry_Int_Tables_number 59
_cell_length_a 6.9450
_cell_length_b 12.8832
_cell_length_c 6.6668
_cell_angle_alpha 90.00
_cell_angle_beta 90.00
_cell_angle_gamma 90.00
loop_
_symmetry_equiv_pos_as_xyz
'x,y,z'
'-x,-y,-z'
'-x+1/2,-y+1/2,z'
'x+1/2,y+1/2,-z'
'x+1/2,-y,-z'
'-x+1/2,y,z'
'-x,y+1/2,-z'
'x,-y+1/2,z'
loop_
_atom_site_label
_atom_site_type_symbol
_atom_site_fract_x
_atom_site_fract_y
_atom_site_fract_z
K1 K 0.2500 0.0031 0.1720
K2 K 0.2500 0.2500 0.5582
Sn1 Sn 0.0183 0.7500 0.9599
Sn2 Sn 0.2500 0.6281 0.6672
Au1 Au 0.2500 0.7500 0.3127
```

***

For KSn3Au3, a cell relaxed with GGA-PBE gives the calculated PXRD pattern in this record (Cu Ka).
Intensities are scaled so that the largest is 100.

Most intense lines, 2θ = 15–90°, sorted by position:
18.70°, intensity 30
30.48°, intensity 45
31.00°, intensity 100
37.57°, intensity 56
39.36°, intensity 54
41.27°, intensity 99

Structural model:
```
data_KSn3Au3
_chemical_formula_sum 'K2 Sn6 Au6'
_symmetry_space_group_name_H-M 'P m m n'
_symmetry_Int_Tables_number 59
_cell_length_a 4.7882
_cell_length_b 7.8184
_cell_length_c 9.4923
_cell_angle_alpha 90.00
_cell_angle_beta 90.00
_cell_angle_gamma 90.00
loop_
_symmetry_equiv_pos_as_xyz
'x,y,z'
'-x,-y,-z'
'-x+1/2,-y+1/2,z'
'x+1/2,y+1/2,-z'
'x+1/2,-y,-z'
'-x+1/2,y,z'
'-x,y+1/2,-z'
'x,-y+1/2,z'
loop_
_atom_site_label
_atom_site_type_symbol
_atom_site_fract_x
_atom_site_fract_y
_atom_site_fract_z
K1 K 0.2500 0.2500 0.2394
Sn1 Sn 0.2500 0.0473 0.6219
Sn2 Sn 0.2500 0.7500 0.1148
Au1 Au 0.2500 0.0389 0.9184
Au2 Au 0.2500 0.7500 0.4292
```

***

For KSn6Au4, a cell relaxed with GGA-PBE gives the calculated PXRD pattern in this record (Cu Ka).
Intensities are scaled so that the largest is 100.

Most intense lines, 2θ = 15–90°, sorted by position:
18.72°, intensity 61
29.53°, intensity 64
30.25°, intensity 34
39.59°, intensity 100
40.54°, intensity 37
41.26°, intensity 38

Structural model:
```
data_KSn6Au4
_chemical_formula_sum 'K8 Sn48 Au32'
_symmetry_space_group_name_H-M 'F d d d'
_symmetry_Int_Tables_number 70
_cell_length_a 8.8999
_cell_length_b 10.2659
_cell_length_c 24.7462
_cell_angle_alpha 90.00
_cell_angle_beta 90.00
_cell_angle_gamma 90.00
loop_
_symmetry_equiv_pos_as_xyz
'x,y,z'
'-x,-y,-z'
'-x+1/4,-y+1/4,z'
'x+1/4,y+1/4,-z'
'x,-y+1/4,-z+1/4'
'-x,y+1/4,z+1/4'
'-x+1/4,y,-z+1/4'
'x+1/4,-y,z+1/4'
'x,y+1/2,z+1/2'
'-x,-y+1/2,-z+1/2'
'-x+1/4,-y+3/4,z+1/2'
'x+1/4,y+3/4,-z+1/2'
'x,-y+3/4,-z+3/4'
'-x,y+3/4,z+3/4'
'-x+1/4,y+1/2,-z+3/4'
'x+1/4,-y+1/2,z+3/4'
'x+1/2,y,z+1/2'
'-x+1/2,-y,-z+1/2'
'-x+3/4,-y+1/4,z+1/2'
'x+3/4,y+1/4,-z+1/2'
'x+1/2,-y+1/4,-z+3/4'
'-x+1/2,y+1/4,z+3/4'
'-x+3/4,y,-z+3/4'
'x+3/4,-y,z+3/4'
'x+1/2,y+1/2,z'
'-x+1/2,-y+1/2,-z'
'-x+3/4,-y+3/4,z'
'x+3/4,y+3/4,-z'
'x+1/2,-y+3/4,-z+1/4'
'-x+1/2,y+3/4,z+1/4'
'-x+3/4,y+1/2,-z+1/4'
'x+3/4,-y+1/2,z+1/4'
loop_
_atom_site_label
_atom_site_type_symbol
_atom_site_fract_x
_atom_site_fract_y
_atom_site_fract_z
K1 K 0.1250 0.1250 0.1250
Sn1 Sn 0.1244 0.3731 0.2592
Sn2 Sn 0.1250 0.2706 0.6250
Au1 Au 0.1250 0.1250 0.3179
Au2 Au 0.1250 0.1250 0.4375
```

***

For LaAu, a cell relaxed with GGA-PBE gives the calculated PXRD pattern in this record (Cu Ka).
Intensities are scaled so that the largest is 100.

Most intense lines, 2θ = 15–90°, sorted by position:
29.78°, intensity 57
31.95°, intensity 35
33.36°, intensity 100
36.71°, intensity 47
36.97°, intensity 91
63.97°, intensity 36

Structural model:
```
data_LaAu
_chemical_formula_sum 'La4 Au4'
_symmetry_space_group_name_H-M 'P n m a'
_symmetry_Int_Tables_number 62
_symmetry_space_group_name_Hall '-P 2ac 2n'
_cell_length_a 7.5924
_cell_length_b 4.8958
_cell_length_c 6.0273
_cell_angle_alpha 90.00
_cell_angle_beta 90.00
_cell_angle_gamma 90.00
loop_
_atom_site_label
_atom_site_type_symbol
_atom_site_fract_x
_atom_site_fract_y
_atom_site_fract_z
La1 La 0.1845 0.2500 0.1456
Au1 Au 0.0410 0.2500 0.6516
```

***

For La2Au, a cell relaxed with GGA-PBE gives the calculated PXRD pattern in this record (Cu Ka).
Intensities are scaled so that the largest is 100.

Most intense lines, 2θ = 15–90°, sorted by position:
28.05°, intensity 50
30.28°, intensity 33
31.03°, intensity 100
32.87°, intensity 69
34.92°, intensity 56
41.01°, intensity 28

Structural model:
```
data_La2Au
_chemical_formula_sum 'La8 Au4'
_symmetry_space_group_name_H-M 'P n m a'
_symmetry_Int_Tables_number 62
_symmetry_space_group_name_Hall '-P 2ac 2n'
_cell_length_a 7.4643
_cell_length_b 5.1386
_cell_length_c 9.6412
_cell_angle_alpha 90.00
_cell_angle_beta 90.00
_cell_angle_gamma 90.00
loop_
_atom_site_label
_atom_site_type_symbol
_atom_site_fract_x
_atom_site_fract_y
_atom_site_fract_z
La1 La 0.0095 0.2500 0.1762
La2 La 0.1567 0.2500 0.5792
Au1 Au 0.2456 0.2500 0.8935
```

***

For LaAu2, a cell relaxed with GGA-PBE gives the calculated PXRD pattern in this record (Cu Ka).
Intensities are scaled so that the largest is 100.

Most intense lines, 2θ = 15–90°, sorted by position:
32.41°, intensity 43
32.51°, intensity 100
37.42°, intensity 89
37.69°, intensity 48
45.03°, intensity 25
50.54°, intensity 25

Structural model:
```
data_LaAu2
_chemical_formula_sum 'La4 Au8'
_symmetry_space_group_name_H-M 'I m m a'
_symmetry_Int_Tables_number 74
_symmetry_space_group_name_Hall '-I 2b 2'
_cell_length_a 4.7737
_cell_length_b 7.3716
_cell_length_c 8.3453
_cell_angle_alpha 90.00
_cell_angle_beta 90.00
_cell_angle_gamma 90.00
loop_
_atom_site_label
_atom_site_type_symbol
_atom_site_fract_x
_atom_site_fract_y
_atom_site_fract_z
La1 La 0.0000 0.2500 0.0342
Au1 Au 0.0000 0.0382 0.6639
```

***

For LaAu, a cell relaxed with GGA-PBE gives the calculated PXRD pattern in this record (Cu Ka).
Intensities are scaled so that the largest is 100.

Most intense lines, 2θ = 15–90°, sorted by position:
29.96°, intensity 100
30.80°, intensity 32
36.03°, intensity 30
36.96°, intensity 38
37.26°, intensity 100
45.43°, intensity 22

Structural model:
```
data_LaAu
_chemical_formula_sum 'La4 Au4'
_symmetry_space_group_name_H-M 'C m c m'
_symmetry_Int_Tables_number 63
_symmetry_space_group_name_Hall '-C 2c 2'
_cell_length_a 3.9929
_cell_length_b 11.6125
_cell_length_c 4.8648
_cell_angle_alpha 90.00
_cell_angle_beta 90.00
_cell_angle_gamma 90.00
loop_
_atom_site_label
_atom_site_type_symbol
_atom_site_fract_x
_atom_site_fract_y
_atom_site_fract_z
La1 La 0.0000 0.1359 0.2500
Au1 Au 0.0000 0.4140 0.2500
```

***

For LiLa4AuO8, a cell relaxed with GGA-PBE gives the calculated PXRD pattern in this record (Cu Ka).
Intensities are scaled so that the largest is 100.

Most intense lines, 2θ = 15–90°, sorted by position:
16.88°, intensity 14
30.59°, intensity 100
30.90°, intensity 35
44.26°, intensity 26
54.17°, intensity 16
54.76°, intensity 39

Structural model:
```
data_LiLa4AuO8
_chemical_formula_sum 'Li2 La8 Au2 O16'
_symmetry_space_group_name_H-M 'C m m m'
_symmetry_Int_Tables_number 65
_symmetry_space_group_name_Hall '-C 2 2'
_cell_length_a 5.7876
_cell_length_b 12.5270
_cell_length_c 5.7880
_cell_angle_alpha 90.00
_cell_angle_beta 90.00
_cell_angle_gamma 90.00
loop_
_atom_site_label
_atom_site_type_symbol
_atom_site_fract_x
_atom_site_fract_y
_atom_site_fract_z
Li1 Li 0.0000 0.0000 0.0000
La1 La 0.0000 0.1503 0.5000
La2 La 0.0000 0.3504 0.0000
Au1 Au 0.0000 0.5000 0.5000
O1 O 0.2491 0.5000 0.2510
O2 O 0.2500 0.2500 0.2492
```

***

For LaAuO2, a cell relaxed with GGA-PBE gives the calculated PXRD pattern in this record (Cu Ka).
Intensities are scaled so that the largest is 100.

Most intense lines, 2θ = 15–90°, sorted by position:
27.41°, intensity 87
29.65°, intensity 35
30.33°, intensity 100
34.69°, intensity 28
46.55°, intensity 40
56.17°, intensity 36

Structural model:
```
data_LaAuO2
_chemical_formula_sum 'La2 Au2 O4'
_symmetry_space_group_name_H-M 'P 63/m m c'
_symmetry_Int_Tables_number 194
_symmetry_space_group_name_Hall '-P 6c 2c'
_cell_length_a 3.9018
_cell_length_b 3.9018
_cell_length_c 12.0525
_cell_angle_alpha 90.00
_cell_angle_beta 90.00
_cell_angle_gamma 120.00
loop_
_atom_site_label
_atom_site_type_symbol
_atom_site_fract_x
_atom_site_fract_y
_atom_site_fract_z
La1 La 0.0000 0.0000 0.0000
Au1 Au 0.3333 0.6667 0.2500
O1 O 0.3333 0.6667 0.0812
```